Record 1
For Cs2Se, a GGA-PBE-relaxed structure gives the computed X-ray diffraction stick pattern in this record (Cu Kα (λ = 1.5418 Å)).
Peak positions follow from Bragg's law for the DFT cell and can differ from measured ones.

Largest 10 diffraction maxima, low angle first, 2θ = 15–90°:
2θ (°), d_spacing, I_rel
18.5, 4.784, 36
22.3, 3.994, 99
24.2, 3.683, 77
28.3, 3.152, 78
30.3, 2.947, 100
31.1, 2.872, 36
33.4, 2.682, 52
35.0, 2.562, 33
35.6, 2.518, 26
50.9, 1.795, 29

Cell and atoms:
a = 10.6308 Å, b = 5.9747 Å, c = 11.5442 Å
α = 66.07°, β = 30.91°, γ = 83.02°
Positions (direct):
Cs (0.2404, 0.7596, 0.3875)
Cs (0.6375, 0.8625, 0.4904)
Cs (0.7596, 0.2404, 0.6125)
Cs (0.8625, 0.6375, 0.0096)
Se (0.2674, 0.2674, 0.7326)
Se (0.5174, 0.5174, 0.9826)

Record 2
For Pu2Al5Zn3, a GGA-PBE-relaxed structure gives the computed X-ray diffraction stick pattern in this record (Cu Kα (λ = 1.5418 Å)).
Peak positions follow from Bragg's law for the DFT cell and can differ from measured ones.

Largest 10 diffraction maxima, low angle first, 2θ = 15–90°:
2θ (°), d_spacing, I_rel
16.2, 5.485, 41
22.8, 3.907, 67
30.2, 2.956, 44
32.5, 2.752, 92
34.5, 2.602, 100
43.3, 2.090, 43
46.8, 1.943, 42
55.2, 1.664, 54
65.6, 1.423, 31
73.7, 1.285, 22

Cell and atoms:
a = 4.1807 Å, b = 4.1807 Å, c = 10.9699 Å
α = 90.00°, β = 90.00°, γ = 90.00°
Positions (direct):
Pu (0.0000, 0.5000, 0.2471)
Pu (0.5000, 0.0000, 0.7529)
Al (0.0000, 0.0000, 0.0000)
Al (0.0000, 0.0000, 0.5000)
Al (0.0000, 0.5000, 0.8521)
Al (0.5000, 0.0000, 0.1479)
Al (0.5000, 0.5000, 0.0000)
Zn (0.0000, 0.5000, 0.6315)
Zn (0.5000, 0.0000, 0.3685)
Zn (0.5000, 0.5000, 0.5000)

Record 3
For HgAu2Cl8, a GGA-PBE-relaxed structure gives the computed X-ray diffraction stick pattern in this record (Cu Kα (λ = 1.5418 Å)).
Peak positions follow from Bragg's law for the DFT cell and can differ from measured ones.

Largest 10 diffraction maxima, low angle first, 2θ = 15–90°:
2θ (°), d_spacing, I_rel
19.2, 4.618, 100
22.3, 3.986, 39
23.1, 3.853, 72
23.8, 3.735, 17
25.1, 3.552, 17
26.9, 3.315, 26
32.3, 2.768, 23
36.0, 2.494, 26
42.6, 2.121, 28
54.1, 1.695, 19

Cell and atoms:
a = 7.8894 Å, b = 7.8894 Å, c = 7.9462 Å
α = 107.11°, β = 107.11°, γ = 60.69°
Positions (direct):
Hg (0.0000, 0.0000, 0.0000)
Au (0.2413, 0.2413, 0.7204)
Au (0.7587, 0.7587, 0.2796)
Cl (0.0710, 0.6944, 0.2739)
Cl (0.1585, 0.1585, 0.2303)
Cl (0.3056, 0.9290, 0.7261)
Cl (0.4055, 0.4055, 0.7157)
Cl (0.5945, 0.5945, 0.2843)
Cl (0.6944, 0.0710, 0.2739)
Cl (0.8415, 0.8415, 0.7697)
Cl (0.9290, 0.3056, 0.7261)